No. 1
For Pr3WN5, a structure optimized by DFT (PBE) gives the computed powder XRD pattern in this record (Cu Kα (weighted mean of Kα1 and Kα2)).
Lines closer than 0.1° are merged.

Largest 6 diffraction maxima, in order of rising 2θ, 10° ≤ 2θ ≤ 90°:
d 2.983, 29.96°, I = 27; d 2.973, 30.06°, I = 100; d 2.934, 30.46°, I = 35; d 2.438, 36.87°, I = 26; d 2.422, 37.12°, I = 29; d 1.875, 48.55°, I = 23

Crystal structure
Cell: 6.8958 6.8958 11.7378 Å, 90.00 90.00 90.00°
Space group I4/mcm (No. 140)
Unique sites:
Pr 0.0000 0.0000 0.2500 [4 per cell]
Pr 0.1782 0.3218 0.0000 [8 per cell]
W 0.0000 0.5000 0.2500 [4 per cell]
N 0.0000 0.0000 0.0000 [4 per cell]
N 0.1519 0.3481 0.3476 [16 per cell]

No. 2
For Pr3W2N8, a structure optimized by DFT (PBE) gives the computed powder XRD pattern in this record (Cu Kα (weighted mean of Kα1 and Kα2)).
Lines closer than 0.1° are merged.

Largest 6 diffraction maxima, in order of rising 2θ, 10° ≤ 2θ ≤ 90°:
d 3.176, 28.10°, I = 100; d 2.891, 30.93°, I = 90; d 2.138, 42.27°, I = 40; d 1.900, 47.86°, I = 27; d 1.719, 53.29°, I = 36; d 1.392, 67.27°, I = 19

Crystal structure
Cell: 5.7816 5.7816 20.5421 Å, 90.00 90.00 120.00°
Space group R-3m (No. 166, hexagonal axes)
Unique sites:
Pr 0.0000 0.0000 0.0000 [3 per cell]
Pr 0.0000 0.0000 0.1987 [6 per cell]
W 0.0000 0.0000 0.4055 [6 per cell]
N 0.0000 0.0000 0.3155 [6 per cell]
N 0.0169 0.5084 0.7706 [18 per cell]

No. 3
For PrY2N3, a structure optimized by DFT (PBE) gives the computed powder XRD pattern in this record (Cu Kα (weighted mean of Kα1 and Kα2)).
Lines closer than 0.1° are merged.

Largest 6 diffraction maxima, in order of rising 2θ, 10° ≤ 2θ ≤ 90°:
d 2.901, 30.83°, I = 100; d 2.512, 35.74°, I = 84; d 1.776, 51.44°, I = 56; d 1.515, 61.18°, I = 44; d 1.450, 64.22°, I = 19; d 1.123, 86.66°, I = 24

Crystal structure
Cell: 6.1530 10.6583 6.1530 Å, 90.00 109.46 90.00°
Space group C2/m (No. 12)
Unique sites:
Pr 0.0000 0.1669 0.0000 [4 per cell]
Y 0.0000 0.0000 0.5000 [2 per cell]
Y 0.0000 0.3352 0.5000 [4 per cell]
Y 0.0000 0.5000 0.0000 [2 per cell]
N 0.2393 0.5000 0.7422 [4 per cell]
N 0.2486 0.3374 0.2581 [8 per cell]

No. 4
For SrPu2PtN4, a structure optimized by DFT (PBE) gives the computed powder XRD pattern in this record (Cu Kα (weighted mean of Kα1 and Kα2)).
Lines closer than 0.1° are merged.

Largest 6 diffraction maxima, in order of rising 2θ, 10° ≤ 2θ ≤ 90°:
d 5.239, 16.92°, I = 65; d 3.277, 27.21°, I = 75; d 2.986, 29.92°, I = 91; d 2.603, 34.45°, I = 100; d 2.585, 34.70°, I = 70; d 2.419, 37.16°, I = 75

Crystal structure
Cell: 3.6160 11.6741 11.8818 Å, 90.00 90.00 90.00°
Space group Cmcm (No. 63)
Unique sites:
Sr 0.0000 0.0726 0.2500 [4 per cell]
Pu 0.0000 0.3677 0.0586 [8 per cell]
Pt 0.0000 0.2100 0.7500 [4 per cell]
N 0.0000 0.0000 0.0000 [4 per cell]
N 0.0000 0.2494 0.5854 [8 per cell]
N 0.0000 0.4165 0.2500 [4 per cell]

No. 5
For Rb3Pt2N, a structure optimized by DFT (PBE) gives the computed powder XRD pattern in this record (Cu Kα (weighted mean of Kα1 and Kα2)).
Lines closer than 0.1° are merged.

Largest 6 diffraction maxima, in order of rising 2θ, 10° ≤ 2θ ≤ 90°:
d 5.377, 16.49°, I = 41; d 4.938, 17.96°, I = 52; d 3.118, 28.63°, I = 35; d 3.012, 29.66°, I = 100; d 2.779, 32.21°, I = 43; d 1.672, 54.90°, I = 23

Crystal structure
Cell: 9.7865 10.7534 6.8528 Å, 90.00 91.19 90.00°
Space group C2/c (No. 15)
Unique sites:
Rb 0.0000 0.0869 0.2500 [4 per cell]
Rb 0.1619 0.4041 0.0747 [8 per cell]
Pt 0.1452 0.2630 0.6061 [8 per cell]
N 0.0000 0.1894 0.7500 [4 per cell]

No. 6
For PtS6N2, a structure optimized by DFT (PBE) gives the computed powder XRD pattern in this record (Cu Kα (weighted mean of Kα1 and Kα2)).
Lines closer than 0.1° are merged.

Largest 6 diffraction maxima, in order of rising 2θ, 10° ≤ 2θ ≤ 90°:
d 8.576, 10.31°, I = 40; d 6.682, 13.25°, I = 100; d 4.713, 18.83°, I = 57; d 4.130, 21.51°, I = 23; d 3.851, 23.09°, I = 70; d 2.388, 37.67°, I = 23

Crystal structure
Cell: 7.2552 17.1520 4.7130 Å, 90.00 90.00 90.00°
Space group Cmmm (No. 65)
Unique sites:
Pt 0.0000 0.0000 0.0000 [2 per cell]
S 0.0000 0.1835 0.0000 [4 per cell]
S 0.2041 0.1026 0.0000 [8 per cell]
N 0.0000 0.3311 0.5000 [4 per cell]

- Number 4 is which compound?
  SrPu2PtN4

Repeat the second record exactly.
For Pr3W2N8, a structure optimized by DFT (PBE) gives the computed powder XRD pattern in this record (Cu Kα (weighted mean of Kα1 and Kα2)).
Lines closer than 0.1° are merged.

Largest 6 diffraction maxima, in order of rising 2θ, 10° ≤ 2θ ≤ 90°:
d 3.176, 28.10°, I = 100; d 2.891, 30.93°, I = 90; d 2.138, 42.27°, I = 40; d 1.900, 47.86°, I = 27; d 1.719, 53.29°, I = 36; d 1.392, 67.27°, I = 19

Crystal structure
Cell: 5.7816 5.7816 20.5421 Å, 90.00 90.00 120.00°
Space group R-3m (No. 166, hexagonal axes)
Unique sites:
Pr 0.0000 0.0000 0.0000 [3 per cell]
Pr 0.0000 0.0000 0.1987 [6 per cell]
W 0.0000 0.0000 0.4055 [6 per cell]
N 0.0000 0.0000 0.3155 [6 per cell]
N 0.0169 0.5084 0.7706 [18 per cell]